No. 1
K2BaCdCl6: computed X-ray diffraction stick pattern (Cu Ka), based on a structure optimized by DFT (PBE).

Structure:
Unit cell a=7.740 b=7.740 c=6.217 alpha=90.00 beta=90.00 gamma=90.00
Fractional positions:
K  0.000  0.500  0.000
K  0.500  0.000  0.000
Ba  0.000  0.000  0.613
Cd  0.500  0.500  0.609
Cl  0.000  0.000  0.130
Cl  0.269  0.269  0.726
Cl  0.269  0.731  0.726
Cl  0.500  0.500  0.210
Cl  0.731  0.269  0.726
Cl  0.731  0.731  0.726

Peak list (10 most intense, 2θ from 10° to 80°, most intense first)
two_theta  intensity
21.6  100
16.2  86
32.7  77
14.2  69
33.1  48
23.0  44
37.1  43
39.6  40
46.9  34
47.3  33

No. 2
RbB3Te2O9: computed X-ray diffraction stick pattern (Cu Ka), based on a structure optimized by DFT (PBE).

Structure:
Unit cell a=6.411 b=5.568 c=14.254 alpha=90.00 beta=111.73 gamma=90.00
Fractional positions:
Rb  0.000  0.127  0.250
Rb  0.000  0.873  0.750
B  0.177  0.342  0.931
B  0.177  0.658  0.431
B  0.500  0.393  0.750
B  0.500  0.607  0.250
B  0.823  0.342  0.569
B  0.823  0.658  0.069
Te  0.320  0.213  0.570
Te  0.320  0.787  0.070
Te  0.680  0.213  0.930
Te  0.680  0.787  0.430
O  0.021  0.217  0.599
O  0.021  0.783  0.099
O  0.181  0.409  0.448
O  0.181  0.591  0.948
O  0.363  0.212  0.936
O  0.363  0.788  0.436
O  0.410  0.492  0.157
O  0.410  0.508  0.657
O  0.500  0.146  0.750
O  0.500  0.854  0.250
O  0.590  0.492  0.343
O  0.590  0.508  0.843
O  0.637  0.212  0.564
O  0.637  0.788  0.064
O  0.819  0.409  0.052
O  0.819  0.591  0.552
O  0.979  0.217  0.901
O  0.979  0.783  0.401

Peak list (10 most intense, 2θ from 10° to 80°, most intense first)
two_theta  intensity
21.2  100
25.8  86
27.9  49
23.5  27
45.6  25
13.4  19
17.3  18
25.5  16
49.1  16
40.9  16

No. 3
Nd5GaGe2: computed X-ray diffraction stick pattern (Cu Ka), based on a structure optimized by DFT (PBE).

Structure:
Unit cell a=9.054 b=9.054 c=9.054 alpha=128.10 beta=128.10 gamma=76.46
Fractional positions:
Nd  0.000  0.000  0.000
Nd  0.030  0.530  0.849
Nd  0.180  0.030  0.500
Nd  0.320  0.820  0.849
Nd  0.470  0.320  0.500
Nd  0.500  0.500  0.000
Nd  0.530  0.680  0.500
Nd  0.680  0.180  0.151
Nd  0.820  0.970  0.500
Nd  0.970  0.470  0.151
Ga  0.250  0.250  0.000
Ga  0.750  0.750  0.000
Ge  0.124  0.376  0.500
Ge  0.376  0.876  0.252
Ge  0.624  0.124  0.748
Ge  0.876  0.624  0.500

Peak list (10 most intense, 2θ from 10° to 80°, most intense first)
two_theta  intensity
31.5  100
33.9  46
35.8  45
51.3  27
31.9  17
55.6  17
25.9  15
29.8  15
38.0  12
47.8  12

No. 4
Pr6IrRu2I3: computed X-ray diffraction stick pattern (Cu Ka), based on a structure optimized by DFT (PBE).

Structure:
Unit cell a=7.275 b=7.275 c=8.569 alpha=98.14 beta=98.14 gamma=120.00
Fractional positions:
Pr  0.101  0.438  0.814
Pr  0.225  0.225  0.186
Pr  0.438  0.101  0.814
Pr  0.562  0.899  0.186
Pr  0.775  0.775  0.814
Pr  0.899  0.562  0.186
Ir  0.500  0.500  0.000
Ru  0.167  0.833  0.000
Ru  0.833  0.167  0.000
I  0.000  0.000  0.500
I  0.333  0.667  0.500
I  0.667  0.333  0.500

Peak list (10 most intense, 2θ from 10° to 80°, most intense first)
two_theta  intensity
28.5  100
43.1  38
38.3  28
52.5  18
10.8  17
70.1  15
35.5  12
30.5  10
55.1  8
47.7  8

No. 5
Li3Ge4Pt4: computed X-ray diffraction stick pattern (Cu Ka), based on a structure optimized by DFT (PBE).

Structure:
Unit cell a=2.908 b=4.532 c=13.520 alpha=99.60 beta=96.08 gamma=90.21
Fractional positions:
Li  0.000  0.000  0.000
Li  0.137  0.639  0.278
Li  0.863  0.361  0.722
Ge  0.271  0.270  0.540
Ge  0.412  0.909  0.818
Ge  0.588  0.091  0.182
Ge  0.729  0.730  0.460
Pt  0.315  0.815  0.631
Pt  0.450  0.447  0.894
Pt  0.550  0.553  0.106
Pt  0.685  0.185  0.369

Peak list (10 most intense, 2θ from 10° to 80°, most intense first)
two_theta  intensity
22.0  100
42.5  71
30.9  68
39.8  48
26.9  48
50.7  35
39.1  31
48.7  20
51.1  17
51.3  17

No. 6
TbNpFe4: computed X-ray diffraction stick pattern (Cu Ka), based on a structure optimized by DFT (PBE).

Structure:
Unit cell a=4.915 b=4.915 c=8.575 alpha=90.00 beta=90.00 gamma=120.00
Fractional positions:
Tb  0.333  0.667  0.428
Tb  0.667  0.333  0.572
Np  0.333  0.667  0.044
Np  0.667  0.333  0.956
Fe  0.000  0.000  0.000
Fe  0.000  0.000  0.500
Fe  0.166  0.332  0.750
Fe  0.166  0.834  0.750
Fe  0.332  0.166  0.250
Fe  0.668  0.834  0.750
Fe  0.834  0.166  0.250
Fe  0.834  0.668  0.250

Peak list (10 most intense, 2θ from 10° to 80°, most intense first)
two_theta  intensity
42.4  100
37.9  80
36.6  59
43.8  34
66.7  31
70.5  23
69.8  19
29.6  19
20.9  16
77.7  16

No. 7
Pm8GeC2: computed X-ray diffraction stick pattern (Cu Ka), based on a structure optimized by DFT (PBE).

Structure:
Unit cell a=7.989 b=7.989 c=5.321 alpha=93.99 beta=93.99 gamma=119.85
Fractional positions:
Pm  0.097  0.362  0.565
Pm  0.243  0.757  0.000
Pm  0.362  0.097  0.565
Pm  0.374  0.374  0.166
Pm  0.626  0.626  0.834
Pm  0.638  0.903  0.435
Pm  0.757  0.243  0.000
Pm  0.903  0.638  0.435
Ge  0.000  0.000  0.000
C  0.261  0.739  0.500
C  0.739  0.261  0.500

Peak list (10 most intense, 2θ from 10° to 80°, most intense first)
two_theta  intensity
30.9  100
30.0  72
34.4  65
36.5  37
35.0  33
51.5  31
29.3  27
26.2  22
62.1  19
29.0  17